ZrCr2SbO8: theoretical powder X-ray diffraction pattern (Cu Kα (weighted mean of Kα1 and Kα2)), based on a GGA+U-relaxed structure.
No peak broadening, texture or thermal motion is included.

Atomic structure:
abc: 6.6246 6.6307 6.3196
angles: 90.00 90.00 90.00
Space group Cmmm (No. 65)
Inequivalent atoms, fractional coordinates:
Zr 0.0000 0.0000 0.0000 [2 per cell]
Cr 0.0000 0.5000 0.2506 [4 per cell]
Sb 0.0000 0.0000 0.5000 [2 per cell]
O 0.0000 0.1988 0.2606 [8 per cell]
O 0.1831 0.5000 0.0000 [4 per cell]
O 0.1937 0.5000 0.5000 [4 per cell]

Main lines, by angle (15° ≤ 2θ ≤ 90°):
2θ/deg, I_rel, hkl
18.9, 200, 1 1 0
26.9, 1000, 2 0 0
34.2, 691, 1 1 2
38.4, 164, 2 2 0
39.4, 152, 0 2 2
52.4, 635, 3 1 2
55.5, 160, 0 4 0
62.7, 121, 2 4 0
65.4, 141, 2 0 4
66.8, 201, 3 3 2